Starting from a structure optimized by DFT (GGA-PBE), the X-ray diffraction stick pattern of LiBH4 was calculated for Cu Kα X-rays.
Lines closer than 0.1° are merged.

The 10 most intense peaks (5° ≤ 2θ ≤ 70°), by angle:
2θ (°)  d/Å  I/Imax
28.1  3.181  24
28.1  3.172  25
31.0  2.883  100
35.4  2.533  28
44.4  2.038  29
47.7  1.905  23
47.9  1.900  23
57.9  1.592  6
58.1  1.589  6
58.2  1.586  12

Structural model:
```
LiBH4
1.0
4.073 0.000 0.000
0.000 4.080 0.000
-0.011 -0.019 5.067
Li B H
2 2 8
direct
0.000 0.000 0.000
0.496 0.518 0.499
0.006 0.003 0.501
0.501 0.511 0.998
0.004 0.753 0.371
0.006 0.247 0.361
0.248 0.506 0.868
0.254 0.009 0.637
0.504 0.760 0.131
0.506 0.266 0.138
0.744 0.508 0.859
0.759 0.011 0.637
```

Starting from a structure optimized by DFT (GGA-PBE), the X-ray diffraction stick pattern of K3Er was calculated for Cu Kα X-rays.
Lines closer than 0.1° are merged.

The 10 most intense peaks (5° ≤ 2θ ≤ 70°), by angle:
2θ (°)  d/Å  I/Imax
11.9  7.445  23
17.3  5.123  48
20.7  4.298  23
23.9  3.722  23
25.2  3.531  27
27.1  3.293  100
34.3  2.614  22
42.0  2.149  19
45.6  1.989  23
49.7  1.836  23

Structural model:
```
K3Er
1.0
8.596 0.000 0.000
-4.298 7.445 0.000
0.000 0.000 7.062
K Er
6 2
direct
0.172 0.345 0.250
0.172 0.828 0.250
0.345 0.172 0.750
0.655 0.828 0.250
0.828 0.172 0.750
0.828 0.655 0.750
0.333 0.667 0.750
0.667 0.333 0.250
```

Starting from a structure optimized by DFT (GGA-PBE), the X-ray diffraction stick pattern of Rb3Pm was calculated for Cu Kα X-rays.
Lines closer than 0.1° are merged.

The 10 most intense peaks (5° ≤ 2θ ≤ 70°), by angle:
2θ (°)  d/Å  I/Imax
14.9  5.929  4
17.3  5.135  2
24.5  3.631  100
28.8  3.096  3
34.9  2.567  20
43.2  2.096  43
50.3  1.815  14
56.7  1.624  19
62.7  1.482  5
68.4  1.372  22

Structural model:
```
Rb3Pm
1.0
0.000 5.135 5.135
5.135 0.000 5.135
5.135 5.135 0.000
Rb Pm
3 1
direct
0.000 0.000 0.000
0.250 0.250 0.250
0.750 0.750 0.750
0.500 0.500 0.500
```

Starting from a structure optimized by DFT (GGA-PBE), the X-ray diffraction stick pattern of Gd2SnAu2 was calculated for Cu Kα X-rays.
Lines closer than 0.1° are merged.

The 10 most intense peaks (5° ≤ 2θ ≤ 70°), by angle:
2θ (°)  d/Å  I/Imax
15.8  5.609  12
32.1  2.784  19
34.1  2.627  100
35.8  2.509  37
41.0  2.200  11
46.5  1.955  14
47.4  1.917  9
60.0  1.542  17
64.5  1.445  10
68.0  1.378  12

Structural model:
```
Gd2SnAu2
1.0
7.933 0.000 0.000
0.000 7.933 0.000
0.000 0.000 3.909
Gd Sn Au
4 2 4
direct
0.173 0.327 0.000
0.327 0.827 0.000
0.673 0.173 0.000
0.827 0.673 0.000
0.000 0.000 0.500
0.500 0.500 0.500
0.126 0.626 0.500
0.374 0.126 0.500
0.626 0.874 0.500
0.874 0.374 0.500
```

Which formula does entry 3 have?
Rb3Pm